Structure and simulated powder diffraction line list of LiAcVO5 (the GGA+U geometry in Alexandria; Cu Kα).

Largest 8 diffraction maxima, sorted by position, 10° ≤ 2θ ≤ 90°:
2θ/deg, I (rel.)
16.33, 100
19.86, 34
22.73, 95
26.09, 39
29.36, 59
30.78, 27
32.79, 31
38.58, 26

Crystal structure
Cell lengths 5.795, 5.795, 8.968 Å; angles 103.88, 103.88, 100.95 degrees
Fractional coordinates of all 16 atoms:
Li1 0.142 0.858 0.750
Li2 0.858 0.142 0.250
Ac1 0.500 0.500 0.000
Ac2 0.500 0.500 0.500
V1 0.164 0.836 0.250
V2 0.836 0.164 0.750
O1 0.101 0.188 0.900
O2 0.137 0.576 0.317
O3 0.188 0.101 0.400
O4 0.359 0.641 0.750
O5 0.424 0.863 0.183
O6 0.576 0.137 0.817
O7 0.641 0.359 0.250
O8 0.812 0.899 0.600
O9 0.863 0.424 0.683
O10 0.899 0.812 0.100